[1]
Diffraction record for CaMg2Tl6. The X-ray powder pattern is calculated, not measured: it uses a GGA-PBE-relaxed structure and Cu Kα.
Kinematic intensities with the Lorentz-polarization factor, no thermal factor.

Principal peaks in the range 2θ from 5° to 70°, by angle:
2θ 18.5, I 26.0, (3 1 0)
2θ 19.1, I 27.9, (1 1 1)
2θ 24.2, I 41.3, (2 2 -1)
2θ 31.5, I 54.0, (5 1 -1)
2θ 32.2, I 53.4, (0 4 0)
2θ 32.5, I 56.7, (1 1 -2)
2θ 33.3, I 100.0, (4 2 1)
2θ 39.1, I 35.4, (5 3 -1)
2θ 40.0, I 26.1, (1 3 -2)
2θ 52.2, I 18.5, (1 5 -2)
2θ 58.0, I 18.7, (4 6 1)
2θ 58.9, I 18.4, (6 2 -3)

Cell lengths 16.0497, 11.1362, 5.6914 Å; angles 90.00, 97.15, 90.00 degrees
Space group C2/c (No. 15)
Inequivalent atoms, fractional coordinates:
Ca 0.0000 0.1322 0.2500 (multiplicity 4)
Mg 0.1672 0.3677 0.0888 (multiplicity 8)
Tl 0.0635 0.3886 0.5296 (multiplicity 8)
Tl 0.1152 0.1310 0.8006 (multiplicity 8)
Tl 0.2276 0.1194 0.3476 (multiplicity 8)

[2]
Diffraction record for Li6Cd3In2. The X-ray powder pattern is calculated, not measured: it uses a GGA-PBE-relaxed structure and Cu Kα.
Kinematic intensities with the Lorentz-polarization factor, no thermal factor.

Principal peaks in the range 2θ from 5° to 70°, by angle:
2θ 11.0, I 16.4, (0 2 0)
2θ 22.2, I 100.0, (0 4 0)
2θ 29.4, I 14.9, (3 1 0)
2θ 30.0, I 9.4, (0 0 1)
2θ 32.0, I 10.8, (1 1 1)
2θ 33.5, I 13.9, (3 3 0)
2θ 37.6, I 78.4, (2 2 1)
2θ 38.9, I 23.2, (4 0 0)
2θ 42.5, I 8.8, (1 5 1)
2θ 45.2, I 22.4, (0 8 0)
2θ 49.9, I 26.0, (2 6 1)
2θ 69.5, I 16.8, (2 10 1)

Cell lengths 9.2687, 16.0497, 2.9808 Å; angles 90.00, 90.00, 90.00 degrees
Space group Cmmm (No. 65)
Inequivalent atoms, fractional coordinates:
Li 0.0000 0.0913 0.0000 (multiplicity 4)
Li 0.2200 0.3401 0.0000 (multiplicity 8)
Cd 0.0000 0.2436 0.5000 (multiplicity 4)
Cd 0.0000 0.5000 0.0000 (multiplicity 2)
In 0.2141 0.0000 0.5000 (multiplicity 4)

[3]
Diffraction record for Dy3Er5Th2. The X-ray powder pattern is calculated, not measured: it uses a GGA-PBE-relaxed structure and Cu Kα.
Kinematic intensities with the Lorentz-polarization factor, no thermal factor.

Principal peaks in the range 2θ from 5° to 70°, by angle:
2θ 21.3, I 15.5, (0 4 0)
2θ 29.9, I 69.0, (2 4 0)
2θ 31.7, I 100.0, (2 2 1)
2θ 32.7, I 21.0, (0 4 2)
2θ 33.8, I 40.7, (4 0 -2)
2θ 34.5, I 14.3, (0 6 1)
2θ 36.4, I 22.6, (2 6 -1)
2θ 47.7, I 14.9, (4 4 -4)
2θ 49.9, I 16.3, (0 6 3)
2θ 59.1, I 17.2, (6 2 -5)
2θ 61.7, I 17.3, (4 6 1)
2θ 63.8, I 23.4, (2 10 1)

Cell lengths 10.6136, 16.7016, 8.9906 Å; angles 90.00, 126.15, 90.00 degrees
Space group C2/c (No. 15)
Inequivalent atoms, fractional coordinates:
Dy 0.0000 0.2201 0.2500 (multiplicity 4)
Dy 0.1466 0.1241 0.0428 (multiplicity 8)
Er 0.0000 0.0283 0.2500 (multiplicity 4)
Er 0.0000 0.2774 0.7500 (multiplicity 4)
Er 0.0000 0.4683 0.7500 (multiplicity 4)
Er 0.2477 0.1218 0.7503 (multiplicity 8)
Th 0.1378 0.3760 0.5258 (multiplicity 8)

[4]
Diffraction record for BaAgP. The X-ray powder pattern is calculated, not measured: it uses a GGA-PBE-relaxed structure and Cu Kα.
Kinematic intensities with the Lorentz-polarization factor, no thermal factor.

Principal peaks in the range 2θ from 5° to 70°, by angle:
2θ 24.7, I 100.0, (1 1 -1)
2θ 27.1, I 78.0, (0 0 2)
2θ 29.7, I 48.1, (3 1 0)
2θ 29.9, I 42.0, (4 0 0)
2θ 32.4, I 47.6, (3 1 -1)
2θ 33.1, I 37.5, (3 1 1)
2θ 39.3, I 37.4, (0 2 0)
2θ 40.0, I 33.8, (4 0 -2)
2θ 41.3, I 46.0, (3 1 2)
2θ 46.3, I 24.7, (1 1 -3)
2θ 48.4, I 30.4, (0 2 2)
2θ 57.6, I 26.1, (7 1 0)

Cell lengths 11.9669, 4.5820, 6.5821 Å; angles 90.00, 92.23, 90.00 degrees
Space group C2/m (No. 12)
Inequivalent atoms, fractional coordinates:
Ba 0.1424 0.0000 0.2416 (multiplicity 4)
Ag 0.0818 0.5000 0.6851 (multiplicity 4)
P 0.1442 0.0000 0.7439 (multiplicity 4)

[5]
Diffraction record for Cs4AuICl2. The X-ray powder pattern is calculated, not measured: it uses a GGA-PBE-relaxed structure and Cu Kα.
Kinematic intensities with the Lorentz-polarization factor, no thermal factor.

Principal peaks in the range 2θ from 5° to 70°, by angle:
2θ 11.8, I 17.3, (0 2 0)
2θ 17.0, I 15.8, (2 0 0)
2θ 23.7, I 51.6, (0 4 0)
2θ 24.1, I 100.0, (2 0 2)
2θ 34.0, I 80.3, (2 4 2)
2θ 34.3, I 39.6, (4 0 0)
2θ 42.1, I 43.9, (4 4 0)
2θ 54.8, I 19.6, (2 8 2)
2θ 55.4, I 19.4, (4 4 4)
2θ 55.6, I 19.4, (6 0 2)
2θ 60.7, I 14.4, (4 8 0)
2θ 61.3, I 28.7, (6 4 2)

Cell lengths 10.4568, 15.0195, 10.4539 Å; angles 90.00, 90.00, 90.00 degrees
Space group Fmm2 (No. 42)
Inequivalent atoms, fractional coordinates:
Cs 0.0000 0.2431 0.0000 (multiplicity 8)
Cs 0.2502 0.0000 0.2483 (multiplicity 8)
Au 0.0000 0.0000 0.9984 (multiplicity 4)
I 0.0000 0.0000 0.4979 (multiplicity 4)
Cl 0.2500 0.2500 0.2501 (multiplicity 8)

[6]
Diffraction record for Tl2H2SCl2. The X-ray powder pattern is calculated, not measured: it uses a GGA-PBE-relaxed structure and Cu Kα.
Kinematic intensities with the Lorentz-polarization factor, no thermal factor.

Principal peaks in the range 2θ from 5° to 70°, by angle:
2θ 17.8, I 100.0, (0 1 1)
2θ 20.9, I 45.8, (1 0 0)
2θ 21.8, I 35.7, (0 1 -1)
2θ 24.2, I 54.6, (1 1 1)
2θ 27.8, I 45.7, (0 0 2)
2θ 28.9, I 42.7, (0 2 0)
2θ 30.2, I 50.0, (1 1 -1)
2θ 30.6, I 86.7, (1 -1 1)
2θ 32.5, I 28.1, (1 0 2)
2θ 33.1, I 27.3, (1 2 0)
2θ 36.1, I 27.2, (0 2 2)
2θ 37.4, I 32.7, (1 2 2)

Cell lengths 4.3726, 6.4273, 6.6575 Å; angles 76.98, 79.79, 79.22 degrees
Space group P-1 (No. 2)
Inequivalent atoms, fractional coordinates:
Tl 0.0008 0.2436 0.2645 (multiplicity 2)
H 0.4671 0.3380 0.8414 (multiplicity 2)
S 0.5000 0.5000 0.0000 (multiplicity 1)
Cl 0.3900 0.2044 0.7026 (multiplicity 2)

[7]
Diffraction record for NaLiICl. The X-ray powder pattern is calculated, not measured: it uses a GGA-PBE-relaxed structure and Cu Kα.
Kinematic intensities with the Lorentz-polarization factor, no thermal factor.

Principal peaks in the range 2θ from 5° to 70°, by angle:
2θ 14.2, I 26.7, (0 0 1)
2θ 21.7, I 50.7, (1 0 0)
2θ 26.1, I 100.0, (1 0 1)
2θ 28.7, I 41.0, (0 0 2)
2θ 30.9, I 66.9, (1 1 0)
2θ 36.3, I 28.2, (1 0 2)
2θ 42.7, I 53.1, (1 1 2)
2θ 44.3, I 23.7, (2 0 0)
2θ 49.2, I 16.3, (1 0 3)
2θ 52.1, I 27.4, (2 1 1)
2θ 53.6, I 26.3, (2 0 2)
2θ 68.4, I 24.4, (1 1 4)

Cell lengths 4.0910, 4.0910, 6.2272 Å; angles 90.00, 90.00, 90.00 degrees
Space group P4/mmm (No. 123)
Inequivalent atoms, fractional coordinates:
Na 0.0000 0.0000 0.0000 (multiplicity 1)
Li 0.5000 0.5000 0.5000 (multiplicity 1)
I 0.0000 0.0000 0.5000 (multiplicity 1)
Cl 0.5000 0.5000 0.0000 (multiplicity 1)

[8]
Diffraction record for Pm7Y3Sc. The X-ray powder pattern is calculated, not measured: it uses a GGA-PBE-relaxed structure and Cu Kα.
Kinematic intensities with the Lorentz-polarization factor, no thermal factor.

Principal peaks in the range 2θ from 5° to 70°, by angle:
2θ 10.4, I 30.0, (2 0 0)
2θ 29.0, I 54.3, (4 0 -4)
2θ 29.8, I 83.6, (0 2 2)
2θ 31.5, I 87.6, (6 0 0)
2θ 31.7, I 66.0, (0 0 4)
2θ 32.1, I 100.0, (4 2 -2)
2θ 33.1, I 52.0, (6 0 -4)
2θ 34.0, I 75.8, (2 2 2)
2θ 38.0, I 32.3, (6 2 -2)
2θ 50.4, I 41.5, (4 2 -6)
2θ 60.3, I 33.9, (10 2 -6)
2θ 61.0, I 23.3, (2 2 6)

Cell lengths 19.1264, 7.0841, 12.6551 Å; angles 90.00, 117.00, 90.00 degrees
Space group Cc (No. 9)
Inequivalent atoms, fractional coordinates:
Pm 0.0000 0.0009 0.0000 (multiplicity 4)
Pm 0.0086 0.2575 0.2474 (multiplicity 4)
Pm 0.0109 0.2558 0.7505 (multiplicity 4)
Pm 0.1777 0.2471 0.6983 (multiplicity 4)
Pm 0.1802 0.2405 0.2029 (multiplicity 4)
Pm 0.1893 0.4970 0.4506 (multiplicity 4)
Pm 0.3441 0.1706 0.9741 (multiplicity 4)
Y 0.0178 0.4989 0.9948 (multiplicity 4)
Y 0.1702 0.0015 0.9540 (multiplicity 4)
Y 0.3446 0.4968 0.2257 (multiplicity 4)
Sc 0.3442 0.0026 0.7236 (multiplicity 4)

[9]
Diffraction record for SnHgSeS. The X-ray powder pattern is calculated, not measured: it uses a GGA-PBE-relaxed structure and Cu Kα.
Kinematic intensities with the Lorentz-polarization factor, no thermal factor.

Principal peaks in the range 2θ from 5° to 70°, by angle:
2θ 11.6, I 29.9, (0 0 1)
2θ 23.4, I 36.9, (0 0 2)
2θ 24.9, I 100.0, (2 0 -1)
2θ 25.9, I 19.4, (1 1 -1)
2θ 29.2, I 42.4, (1 1 1)
2θ 31.6, I 33.0, (2 0 1)
2θ 37.1, I 73.4, (2 0 -3)
2θ 43.4, I 57.3, (0 2 0)
2θ 49.9, I 20.4, (0 2 2)
2θ 50.7, I 25.0, (1 1 -4)
2θ 58.4, I 20.6, (2 2 -3)
2θ 68.8, I 14.3, (2 2 3)

Cell lengths 7.2375, 4.1698, 7.9752 Å; angles 90.00, 107.46, 90.00 degrees
Space group Cm (No. 8)
Inequivalent atoms, fractional coordinates:
Sn 0.0000 0.0000 0.0000 (multiplicity 2)
Hg 0.1616 0.0000 0.4822 (multiplicity 2)
Se 0.4392 0.0000 0.3145 (multiplicity 2)
S 0.2732 0.0000 0.8182 (multiplicity 2)

[10]
Diffraction record for CaPm3Ho3. The X-ray powder pattern is calculated, not measured: it uses a GGA-PBE-relaxed structure and Cu Kα.
Kinematic intensities with the Lorentz-polarization factor, no thermal factor.

Principal peaks in the range 2θ from 5° to 70°, by angle:
2θ 12.4, I 38.6, (1 0 1)
2θ 20.4, I 24.3, (1 1 0)
2θ 23.6, I 20.4, (0 0 6)
2θ 28.5, I 17.9, (0 2 4)
2θ 30.1, I 27.9, (1 0 7)
2θ 31.4, I 88.6, (1 1 6)
2θ 31.6, I 100.0, (3 -1 1)
2θ 32.4, I 60.7, (3 -2 2)
2θ 37.3, I 27.8, (3 -2 5)
2θ 52.1, I 16.4, (4 -3 7)
2θ 55.9, I 20.2, (4 1 0)
2θ 62.6, I 19.1, (3 -1 13)

Cell lengths 8.7116, 8.7116, 22.5937 Å; angles 90.00, 90.00, 120.00 degrees
Space group R-3 (No. 148, hexagonal axes)
Inequivalent atoms, fractional coordinates:
Ca 0.0000 0.0000 0.1549 (multiplicity 6)
Pm 0.0547 0.6088 0.3777 (multiplicity 18)
Ho 0.0091 0.7784 0.5585 (multiplicity 18)

[11]
Diffraction record for InNi7Sn2As2. The X-ray powder pattern is calculated, not measured: it uses a GGA-PBE-relaxed structure and Cu Kα.
Kinematic intensities with the Lorentz-polarization factor, no thermal factor.

Principal peaks in the range 2θ from 5° to 70°, by angle:
2θ 6.0, I 29.1, (0 0 1)
2θ 12.0, I 44.1, (0 0 2)
2θ 28.8, I 65.0, (1 1 2)
2θ 30.2, I 33.5, (0 0 5)
2θ 34.9, I 50.1, (0 2 0)
2θ 35.4, I 40.3, (2 0 -2)
2θ 37.0, I 21.7, (2 0 -3)
2θ 39.5, I 46.8, (2 0 -4)
2θ 42.8, I 59.0, (0 0 7)
2θ 46.8, I 100.0, (2 0 4)
2θ 47.1, I 27.5, (1 1 -7)
2θ 50.2, I 81.6, (2 2 -1)

Cell lengths 5.1418, 5.1402, 14.9972 Å; angles 90.00, 99.76, 90.00 degrees
Space group C2/m (No. 12)
Inequivalent atoms, fractional coordinates:
In 0.0000 0.0000 0.0000 (multiplicity 2)
Ni 0.0000 0.5000 0.0000 (multiplicity 2)
Ni 0.1846 0.2498 0.8663 (multiplicity 8)
Ni 0.1935 0.5000 0.3881 (multiplicity 4)
Sn 0.2125 0.0000 0.4258 (multiplicity 4)
As 0.1134 0.5000 0.2313 (multiplicity 4)

[12]
Diffraction record for SrMg9Ga2. The X-ray powder pattern is calculated, not measured: it uses a GGA-PBE-relaxed structure and Cu Kα.
Kinematic intensities with the Lorentz-polarization factor, no thermal factor.

Principal peaks in the range 2θ from 5° to 70°, by angle:
2θ 20.0, I 95.9, (2 1 1)
2θ 29.0, I 93.0, (3 2 1)
2θ 29.5, I 38.5, (4 0 0)
2θ 32.9, I 100.0, (3 1 2)
2θ 33.0, I 63.3, (4 2 0)
2θ 35.7, I 51.6, (1 0 3)
2θ 38.9, I 51.5, (5 0 1)
2θ 40.7, I 74.3, (4 2 2)
2θ 41.8, I 33.0, (5 2 1)
2θ 52.0, I 38.8, (2 2 4)
2θ 58.9, I 27.1, (5 5 2)
2θ 69.3, I 25.1, (8 4 0)

Cell lengths 12.1297, 12.1297, 7.7189 Å; angles 90.00, 90.00, 90.00 degrees
Space group I4_1/amd (No. 141, origin choice 2)
Inequivalent atoms, fractional coordinates:
Sr 0.0000 0.2500 0.3750 (multiplicity 4)
Mg 0.0000 0.2500 0.8750 (multiplicity 4)
Mg 0.1228 0.0509 0.6843 (multiplicity 32)
Ga 0.0000 0.0000 0.0000 (multiplicity 8)

[13]
Diffraction record for TaCuRuO6. The X-ray powder pattern is calculated, not measured: it uses a GGA-PBE-relaxed structure and Cu Kα.
Kinematic intensities with the Lorentz-polarization factor, no thermal factor.

Principal peaks in the range 2θ from 5° to 70°, by angle:
2θ 19.3, I 7.5, (0 0 2)
2θ 21.3, I 27.0, (1 0 1)
2θ 27.0, I 100.0, (1 1 0)
2θ 35.0, I 80.8, (1 0 3)
2θ 38.6, I 21.8, (2 0 0)
2θ 44.5, I 8.1, (2 1 1)
2θ 53.0, I 64.6, (2 1 3)
2θ 55.7, I 16.9, (2 2 0)
2θ 60.4, I 8.8, (0 0 6)
2θ 62.9, I 15.4, (3 1 0)
2θ 67.3, I 14.3, (1 1 6)
2θ 67.5, I 18.7, (3 0 3)

Cell lengths 4.6702, 4.6702, 9.2007 Å; angles 90.00, 90.00, 90.00 degrees
Space group P4_2nm (No. 102)
Inequivalent atoms, fractional coordinates:
Ta 0.0000 0.0000 0.0000 (multiplicity 2)
Cu 0.0000 0.0000 0.3345 (multiplicity 2)
Ru 0.0000 0.0000 0.6727 (multiplicity 2)
O 0.1991 0.1991 0.8385 (multiplicity 4)
O 0.2007 0.2007 0.5149 (multiplicity 4)
O 0.2093 0.2093 0.1616 (multiplicity 4)